(1)
For Er2ScGa3CuGe2, a structure optimized by DFT (PBE) gives the calculated powder diffraction line list in this record (Cu Kα, 1.54184 Å).
Intensities are scaled so that the largest is 100.

Principal peaks in the range 2θ from 15° to 90°, most intense first:
Position (°2θ)  intensity  hkl
34.1  100.0  1 3 1
37.2  86.1  1 2 2
33.8  52.5  1 0 2
44.5  40.5  2 0 0
40.0  32.8  0 5 1
37.4  30.2  1 4 0
45.2  28.0  0 3 3
26.5  22.5  1 2 0
46.0  19.5  1 5 1
61.4  18.6  2 5 1
72.7  18.3  1 7 3
65.3  18.2  2 3 3

Cell and atoms:
```
data_Er2ScGa3CuGe2
_cell_length_a 4.069
_cell_length_b 11.909
_cell_length_c 6.977
_cell_angle_alpha 90.00
_cell_angle_beta 90.00
_cell_angle_gamma 90.00
_space_group_name_H-M_alt 'A m m 2'
_space_group_IT_number 38
loop_
_space_group_symop_operation_xyz
'x,y,z'
'-x,-y,z'
'-x,y,z'
'x,-y,z'
'x,y+1/2,z+1/2'
'-x,-y+1/2,z+1/2'
'-x,y+1/2,z+1/2'
'x,-y+1/2,z+1/2'
loop_
_atom_site_label
_atom_site_fract_x
_atom_site_fract_y
_atom_site_fract_z
Er1 0.000 0.201 0.000
Sc1 0.000 0.000 0.602
Ga1 0.500 0.000 0.967
Ga2 0.500 0.118 0.323
Cu1 0.000 0.000 0.212
Ge1 0.500 0.161 0.701
```


(2)
For YEr2Ga3CuGe2, a structure optimized by DFT (PBE) gives the calculated powder diffraction line list in this record (Cu Kα, 1.54184 Å).
Intensities are scaled so that the largest is 100.

Principal peaks in the range 2θ from 15° to 90°, most intense first:
Position (°2θ)  intensity  hkl
33.5  100.0  1 0 2
36.7  72.0  1 2 2
39.2  39.8  0 5 1
43.6  26.3  2 0 0
60.1  22.5  2 5 1
59.2  21.5  1 7 1
44.8  21.5  0 3 3
45.1  17.7  1 5 1
64.3  14.3  2 3 3
71.4  14.0  1 7 3
25.4  12.7  0 3 1
73.6  10.1  3 0 2

Cell and atoms:
```
data_YEr2Ga3CuGe2
_cell_length_a 4.151
_cell_length_b 12.158
_cell_length_c 7.005
_cell_angle_alpha 90.00
_cell_angle_beta 90.00
_cell_angle_gamma 90.00
_space_group_name_H-M_alt 'A m m 2'
_space_group_IT_number 38
loop_
_space_group_symop_operation_xyz
'x,y,z'
'-x,-y,z'
'-x,y,z'
'x,-y,z'
'x,y+1/2,z+1/2'
'-x,-y+1/2,z+1/2'
'-x,y+1/2,z+1/2'
'x,-y+1/2,z+1/2'
loop_
_atom_site_label
_atom_site_fract_x
_atom_site_fract_y
_atom_site_fract_z
Y1 0.000 0.000 0.000
Er1 0.000 0.201 0.396
Ga1 0.500 0.000 0.364
Ga2 0.500 0.117 0.713
Cu1 0.000 0.000 0.594
Ge1 0.500 0.168 0.098
```


(3)
For Er2TmGa3Cu2Ni, a structure optimized by DFT (PBE) gives the calculated powder diffraction line list in this record (Cu Kα, 1.54184 Å).
Intensities are scaled so that the largest is 100.

Principal peaks in the range 2θ from 15° to 90°, most intense first:
Position (°2θ)  intensity  hkl
34.5  100.0  1 3 1
37.8  77.0  1 4 0
45.7  41.7  2 0 0
40.0  41.0  0 1 3
60.7  27.7  1 5 3
62.4  22.7  2 1 3
55.6  20.3  0 7 1
73.3  18.3  1 7 3
25.9  16.4  0 3 1
30.0  14.2  0 2 2
74.8  12.7  2 7 1
66.7  11.0  2 6 0

Cell and atoms:
```
data_Er2TmGa3Cu2Ni
_cell_length_a 3.965
_cell_length_b 11.912
_cell_length_c 6.880
_cell_angle_alpha 90.00
_cell_angle_beta 90.00
_cell_angle_gamma 90.00
_space_group_name_H-M_alt 'A m m 2'
_space_group_IT_number 38
loop_
_space_group_symop_operation_xyz
'x,y,z'
'-x,-y,z'
'-x,y,z'
'x,-y,z'
'x,y+1/2,z+1/2'
'-x,-y+1/2,z+1/2'
'-x,y+1/2,z+1/2'
'x,-y+1/2,z+1/2'
loop_
_atom_site_label
_atom_site_fract_x
_atom_site_fract_y
_atom_site_fract_z
Er1 0.000 0.205 0.000
Tm1 0.000 0.000 0.386
Ga1 0.500 0.000 0.033
Ga2 0.500 0.119 0.676
Cu1 0.500 0.166 0.295
Ni1 0.000 0.000 0.794
```


(4)
For GdErCu2P4, a structure optimized by DFT (PBE) gives the calculated powder diffraction line list in this record (Cu Kα, 1.54184 Å).
Intensities are scaled so that the largest is 100.

Principal peaks in the range 2θ from 15° to 90°, most intense first:
Position (°2θ)  intensity  hkl
38.9  100.0  1 1 2
25.6  73.6  1 0 1
36.8  40.2  1 0 3
49.0  30.0  2 0 0
84.8  20.5  3 1 2
37.0  19.7  0 0 4
56.1  17.9  2 1 1
62.8  17.0  2 1 3
62.9  16.2  2 0 4
53.2  15.0  1 0 5
30.3  12.3  1 0 2
75.2  10.8  2 1 5

Cell and atoms:
```
data_GdErCu2P4
_cell_length_a 3.719
_cell_length_b 3.719
_cell_length_c 9.720
_cell_angle_alpha 90.00
_cell_angle_beta 90.00
_cell_angle_gamma 90.00
_space_group_name_H-M_alt 'P 4 m m'
_space_group_IT_number 99
loop_
_space_group_symop_operation_xyz
'x,y,z'
'-y,x,z'
'-x,-y,z'
'y,-x,z'
'-x,y,z'
'y,x,z'
'x,-y,z'
'-y,-x,z'
loop_
_atom_site_label
_atom_site_fract_x
_atom_site_fract_y
_atom_site_fract_z
Gd1 0.000 0.000 0.000
Er1 0.500 0.500 0.538
Cu1 0.000 0.500 0.272
P1 0.000 0.000 0.428
P2 0.000 0.500 0.766
P3 0.500 0.500 0.116
```


(5)
For GdErCu2Sn, a structure optimized by DFT (PBE) gives the calculated powder diffraction line list in this record (Cu Kα, 1.54184 Å).
Intensities are scaled so that the largest is 100.

Principal peaks in the range 2θ from 15° to 90°, most intense first:
Position (°2θ)  intensity  hkl
33.1  100.0  1 1 1
36.2  64.8  1 0 4
38.9  43.0  0 1 5
56.7  35.5  1 2 4
28.5  34.8  0 1 3
42.1  30.1  0 2 0
38.1  26.7  1 1 3
65.7  18.1  2 1 5
50.7  17.5  2 0 0
68.0  14.3  2 2 0
57.7  11.8  1 1 7
71.3  11.0  1 3 1

Cell and atoms:
```
data_GdErCu2Sn
_cell_length_a 3.600
_cell_length_b 4.290
_cell_length_c 13.726
_cell_angle_alpha 90.00
_cell_angle_beta 90.00
_cell_angle_gamma 90.00
_space_group_name_H-M_alt 'A m m 2'
_space_group_IT_number 38
loop_
_space_group_symop_operation_xyz
'x,y,z'
'-x,-y,z'
'-x,y,z'
'x,-y,z'
'x,y+1/2,z+1/2'
'-x,-y+1/2,z+1/2'
'-x,y+1/2,z+1/2'
'x,-y+1/2,z+1/2'
loop_
_atom_site_label
_atom_site_fract_x
_atom_site_fract_y
_atom_site_fract_z
Gd1 0.000 0.000 0.000
Er1 0.000 0.000 0.262
Cu1 0.500 0.000 0.427
Cu2 0.500 0.000 0.831
Sn1 0.500 0.000 0.632
```


(6)
For GdErCuTe3, a structure optimized by DFT (PBE) gives the calculated powder diffraction line list in this record (Cu Kα, 1.54184 Å).
Intensities are scaled so that the largest is 100.

Principal peaks in the range 2θ from 15° to 90°, most intense first:
Position (°2θ)  intensity  hkl
33.0  100.0  1 3 2
29.9  50.5  1 3 1
44.0  22.0  2 0 0
26.9  21.6  0 2 3
31.9  19.3  0 0 4
41.4  19.0  0 6 2
39.4  18.7  1 1 4
50.1  17.6  1 3 5
72.4  16.3  1 7 6
20.2  14.3  0 2 2
37.6  12.9  1 3 3
28.8  12.4  1 3 0

Cell and atoms:
```
data_GdErCuTe3
_cell_length_a 4.115
_cell_length_b 14.194
_cell_length_c 11.237
_cell_angle_alpha 90.00
_cell_angle_beta 90.00
_cell_angle_gamma 90.00
_space_group_name_H-M_alt 'C m c m'
_space_group_IT_number 63
_space_group_name_Hall '-C 2c 2'
loop_
_atom_site_label
_atom_site_fract_x
_atom_site_fract_y
_atom_site_fract_z
Gd1 0.000 0.000 0.000
Er1 0.000 0.226 0.250
Cu1 0.000 0.471 0.750
Te1 0.000 0.099 0.750
Te2 0.000 0.349 0.572
```